Starting from a DFT-relaxed cell (GGA-PBE, the Materials Project), the powder diffractogram of EuAl2 was computed for Cu Kα X-rays.

Structural model:
Cell: 8.185 8.185 8.185 Å, 90.00 90.00 90.00°
Space group Fd-3m (No. 227, origin choice 2)
Asymmetric unit:
Eu (0.125, 0.125, 0.125)
Al (0.000, 0.000, 0.500)

Most intense lines, 10° ≤ 2θ ≤ 90°, low angle first:
| Position (°2θ) | I_rel |
| --- | --- |
| 18.8 | 59 |
| 30.9 | 99 |
| 36.4 | 100 |
| 44.3 | 8 |
| 48.5 | 16 |
| 55.0 | 39 |
| 58.6 | 33 |
| 64.4 | 22 |
| 67.7 | 12 |
| 73.1 | 17 |
| 76.3 | 12 |
| 89.6 | 21 |

---

Starting from a DFT-relaxed cell (GGA-PBE, the Materials Project), the powder diffractogram of EuAl8Fe4 was computed for Cu Kα X-rays.

Structural model:
```
data_EuAl8Fe4
_cell_length_a 8.773
_cell_length_b 8.773
_cell_length_c 5.028
_cell_angle_alpha 90.00
_cell_angle_beta 90.00
_cell_angle_gamma 90.00
_space_group_name_H-M_alt 'I 4/m m m'
_space_group_IT_number 139
_space_group_name_Hall '-I 4 2'
loop_
_atom_site_label
_atom_site_type_symbol
_atom_site_fract_x
_atom_site_fract_y
_atom_site_fract_z
Eu1 Eu 0.000 0.000 0.000
Al1 Al 0.000 0.225 0.500
Al2 Al 0.000 0.341 0.000
Fe1 Fe 0.250 0.250 0.250
```

Most intense lines, 10° ≤ 2θ ≤ 90°, low angle first:
| Position (°2θ) | I_rel |
| --- | --- |
| 14.3 | 30 |
| 20.4 | 29 |
| 28.8 | 71 |
| 32.3 | 19 |
| 35.5 | 31 |
| 41.2 | 100 |
| 41.4 | 67 |
| 46.5 | 14 |
| 59.6 | 14 |
| 59.8 | 25 |
| 67.5 | 16 |
| 75.2 | 16 |